Sr7Sb3O2: computed X-ray diffraction stick pattern (Cu Kα), based on DFT lattice parameters and positions (GGA-PBE).

Atomic structure:
```
Sr7Sb3O2
1.0
-2.519 2.519 14.099
2.519 -2.519 14.099
2.519 2.519 -14.099
Sr Sb O
7 3 2
direct
0.000 0.000 0.000
0.095 0.595 0.500
0.203 0.203 0.000
0.405 0.905 0.500
0.595 0.095 0.500
0.797 0.797 0.000
0.905 0.405 0.500
0.321 0.321 0.000
0.500 0.500 0.000
0.679 0.679 0.000
0.090 0.090 0.000
0.910 0.910 0.000
```

Main lines, in order of rising 2θ (2θ from 10° to 90°):
d_spacing	two_theta	I/Imax
3.562	25.0	15.5
3.180	28.1	50.5
2.839	31.5	100.0
2.820	31.7	28.2
2.519	35.6	65.5
1.879	48.5	33.6
1.781	51.3	22.6
1.580	58.4	14.5
1.509	61.5	29.3
1.506	61.6	16.2